1.
PuB11: simulated powder diffractogram (Cu Kα X-rays), based on a structure optimized by DFT (PBE).
Intensities are scaled so that the largest is 100.

```
data_PuB11
_chemical_formula_sum 'Pu4 B44'
_cell_length_a 6.996
_cell_length_b 6.996
_cell_length_c 8.198
_cell_angle_alpha 90.00
_cell_angle_beta 90.00
_cell_angle_gamma 90.00
_space_group_name_H-M_alt 'I 41/a m d'
_space_group_IT_number 141
loop_
_space_group_symop_operation_xyz
'x,y,z'
'-x,-y,-z'
'-y+1/4,x+3/4,z+1/4'
'y+1/4,-x+3/4,-z+1/4'
'-x+1/2,-y,z+1/2'
'x+1/2,y,-z+1/2'
'y+1/4,-x+1/4,z+3/4'
'-y+1/4,x+1/4,-z+3/4'
'x,-y,-z'
'-x,y,z'
'-y+1/4,-x+1/4,-z+3/4'
'y+1/4,x+1/4,z+3/4'
'-x+1/2,y,-z+1/2'
'x+1/2,-y,z+1/2'
'y+1/4,x+3/4,-z+1/4'
'-y+1/4,-x+3/4,z+1/4'
'x+1/2,y+1/2,z+1/2'
'-x+1/2,-y+1/2,-z+1/2'
'-y+3/4,x+1/4,z+3/4'
'y+3/4,-x+1/4,-z+3/4'
'-x,-y+1/2,z'
'x,y+1/2,-z'
'y+3/4,-x+3/4,z+1/4'
'-y+3/4,x+3/4,-z+1/4'
'x+1/2,-y+1/2,-z+1/2'
'-x+1/2,y+1/2,z+1/2'
'-y+3/4,-x+3/4,-z+1/4'
'y+3/4,x+3/4,z+1/4'
'-x,y+1/2,-z'
'x,-y+1/2,z'
'y+3/4,x+1/4,-z+3/4'
'-y+3/4,-x+1/4,z+3/4'
loop_
_atom_site_label
_atom_site_type_symbol
_atom_site_fract_x
_atom_site_fract_y
_atom_site_fract_z
Pu1 Pu 0.000 0.250 0.375
B1 B 0.000 0.000 0.000
B2 B 0.000 0.250 0.875
B3 B 0.133 0.058 0.673
```

Most intense lines, 2θ = 15–90°, in order of rising 2θ:
| d/Å | 2θ/deg | Rel. int. | hkl |
| --- | --- | --- | --- |
| 5.322 | 16.66 | 100 | 1 0 1 |
| 3.498 | 25.46 | 39 | 2 0 0 |
| 3.156 | 28.28 | 70 | 1 1 2 |
| 2.923 | 30.58 | 57 | 2 1 1 |
| 2.545 | 35.26 | 28 | 1 0 3 |
| 2.473 | 36.32 | 19 | 2 2 0 |
| 2.243 | 40.20 | 15 | 3 0 1 |
| 2.058 | 44.00 | 16 | 2 1 3 |
| 1.947 | 46.65 | 48 | 3 1 2 |
| 1.888 | 48.20 | 19 | 3 2 1 |



2.
PuRe2B2: simulated powder diffractogram (Cu Kα X-rays), based on a structure optimized by DFT (PBE).
Intensities are scaled so that the largest is 100.

```
data_PuRe2B2
_chemical_formula_sum 'Pu2 Re4 B4'
_cell_length_a 9.888
_cell_length_b 3.126
_cell_length_c 4.436
_cell_angle_alpha 90.00
_cell_angle_beta 104.38
_cell_angle_gamma 90.00
_space_group_name_H-M_alt 'C 1 2/m 1'
_space_group_IT_number 12
_space_group_name_Hall '-C 2y'
loop_
_atom_site_label
_atom_site_type_symbol
_atom_site_fract_x
_atom_site_fract_y
_atom_site_fract_z
Pu1 Pu 0.000 0.000 0.000
Re1 Re 0.156 0.500 0.578
B1 B 0.232 0.500 0.103
```

Most intense lines, 2θ = 15–90°, in order of rising 2θ:
| d/Å | 2θ/deg | Rel. int. | hkl |
| --- | --- | --- | --- |
| 2.864 | 31.23 | 58 | 2 0 1 |
| 2.537 | 35.37 | 100 | 1 1 -1 |
| 2.357 | 38.19 | 69 | 4 0 -1 |
| 2.234 | 40.38 | 83 | 3 1 0 |
| 2.172 | 41.57 | 21 | 2 0 -2 |
| 2.149 | 42.05 | 20 | 0 0 2 |
| 1.703 | 53.82 | 15 | 3 1 -2 |
| 1.429 | 65.28 | 26 | 3 1 2 |
| 1.302 | 72.59 | 15 | 4 2 -1 |
| 1.284 | 73.77 | 15 | 7 1 -1 |



3.
PuB2Rh: simulated powder diffractogram (Cu Kα X-rays), based on a structure optimized by DFT (PBE).
Intensities are scaled so that the largest is 100.

```
data_PuB2Rh
_chemical_formula_sum 'Pu2 B4 Rh2'
_cell_length_a 3.132
_cell_length_b 5.487
_cell_length_c 6.334
_cell_angle_alpha 90.00
_cell_angle_beta 104.27
_cell_angle_gamma 90.00
_space_group_name_H-M_alt 'P 1 21/m 1'
_space_group_IT_number 11
_space_group_name_Hall '-P 2yb'
loop_
_atom_site_label
_atom_site_type_symbol
_atom_site_fract_x
_atom_site_fract_y
_atom_site_fract_z
Pu1 Pu 0.079 0.250 0.157
B1 B 0.256 0.591 0.512
Rh1 Rh 0.351 0.250 0.703
```

Most intense lines, 2θ = 15–90°, in order of rising 2θ:
| d/Å | 2θ/deg | Rel. int. | hkl |
| --- | --- | --- | --- |
| 4.091 | 21.72 | 25 | 0 1 1 |
| 3.035 | 29.43 | 29 | 1 0 -1 |
| 2.744 | 32.64 | 61 | 0 2 0 |
| 2.679 | 33.45 | 77 | 0 1 2 |
| 2.656 | 33.75 | 71 | 1 1 0 |
| 2.266 | 39.79 | 100 | 1 1 1 |
| 2.046 | 44.28 | 23 | 0 2 2 |
| 1.566 | 58.96 | 31 | 2 0 -1 |
| 1.474 | 63.09 | 23 | 1 3 1 |
| 1.337 | 70.45 | 26 | 1 2 -4 |



4.
PuB6Rh12: simulated powder diffractogram (Cu Kα X-rays), based on a structure optimized by DFT (PBE).
Intensities are scaled so that the largest is 100.

```
data_PuB6Rh12
_chemical_formula_sum 'Pu3 B18 Rh36'
_cell_length_a 10.2574
_cell_length_b 10.2574
_cell_length_c 8.0087
_cell_angle_alpha 90.00
_cell_angle_beta 90.00
_cell_angle_gamma 120.00
_space_group_name_H-M_alt 'R -3 m'
_space_group_IT_number 166
_space_group_name_Hall '-R 3 2"'
loop_
_atom_site_label
_atom_site_type_symbol
_atom_site_fract_x
_atom_site_fract_y
_atom_site_fract_z
Pu1 Pu 0.0000 0.0000 0.0000
B1 B 0.0425 0.5213 0.2881
Rh1 Rh 0.0000 0.3665 0.5000
Rh2 Rh 0.0876 0.1752 0.3604
```

Most intense lines, 2θ = 15–90°, in order of rising 2θ:
| d/Å | 2θ/deg | Rel. int. | hkl |
| --- | --- | --- | --- |
| 2.974 | 30.05 | 37 | 2 0 2 |
| 2.961 | 30.18 | 33 | 3 0 0 |
| 2.368 | 38.00 | 61 | 1 1 3 |
| 2.355 | 38.22 | 100 | 1 3 1 |
| 2.098 | 43.11 | 24 | 3 1 2 |
| 1.983 | 45.76 | 25 | 3 0 3 |
| 1.710 | 53.61 | 22 | 3 3 0 |
| 1.624 | 56.68 | 21 | 5 0 2 |
| 1.253 | 75.91 | 12 | 7 0 1 |
| 1.156 | 83.67 | 13 | 4 4 3 |